Calculated powder diffraction line list
Compound: SmDy2Ir
Radiation: Cu Ka
Structure: the PBE geometry in Alexandria
Kinematic intensities with the Lorentz-polarization factor, no thermal factor.

```
8
Lattice="1.9357 -6.0958 0.0000 1.9357 6.0958 0.0000 0.0000 0.0000 9.2458" Properties=species:S:1:pos:R:3 pbc="T T T"
Sm 1.9357 5.2007 6.9344
Sm 1.9357 -5.2007 2.3115
Dy 1.9357 1.7323 5.2419
Dy 1.9357 1.7323 8.6268
Dy 1.9357 -1.7323 0.6190
Dy 1.9357 -1.7323 4.0039
Ir 1.9357 3.0885 2.3115
Ir 1.9357 -3.0885 6.9344
```

The 10 most intense peaks (2θ = 5–70°), in order of rising 2θ:
2theta  I (rel.)
14.53  32
31.01  58
31.93  33
32.56  58
33.40  100
35.27  33
38.04  59
46.94  27
58.30  27
60.05  26